Record 1
Simulated X-ray powder pattern
Compound: CsGd2Ag3Se5
Radiation: Cu Kα X-rays
Structure: a DFT-relaxed cell (GGA-PBE, the Materials Project)

Crystal structure
Cell: 4.3627 15.6699 17.7481 Å, 90.00 90.00 90.00°
Space group Cmcm (No. 63)
Symmetry-distinct sites (fractional):
Cs (0.0000, 0.0620, 0.2500) x4
Gd (0.0000, 0.1925, 0.5950) x8
Ag (0.0000, 0.3439, 0.2500) x4
Ag (0.0000, 0.4168, 0.5408) x8
Se (0.0000, 0.1807, 0.0700) x8
Se (0.0000, 0.2521, 0.7500) x4
Se (0.0000, 0.4319, 0.1163) x8

Most intense lines, 10° ≤ 2θ ≤ 90°, low angle first:
2θ = 27.1°, I = 87, hkl 1 3 1
2θ = 28.5°, I = 95, hkl 1 3 2
2θ = 30.2°, I = 93, hkl 0 0 6
2θ = 33.5°, I = 87, hkl 1 3 4
2θ = 41.4°, I = 87, hkl 2 0 0
2θ = 44.8°, I = 100, hkl 1 3 7

***

Record 2
Simulated X-ray powder pattern
Compound: Li3CuF6
Radiation: Cu Kα X-rays
Structure: a DFT-relaxed cell (GGA-PBE, the Materials Project)

Crystal structure
Cell: 8.5082 8.5082 10.0829 Å, 90.00 90.00 120.00°
Space group R-3 (No. 148, hexagonal axes)
Symmetry-distinct sites (fractional):
Li (0.0428, 0.2664, 0.2082) x18
Cu (0.0000, 0.0000, 0.0000) x3
Cu (0.0000, 0.0000, 0.5000) x3
F (0.0224, 0.1871, 0.8820) x18
F (0.0276, 0.2026, 0.3976) x18

Most intense lines, 10° ≤ 2θ ≤ 90°, low angle first:
2θ = 20.9°, I = 92, hkl 1 1 0
2θ = 21.4°, I = 100, hkl 0 1 2
2θ = 30.0°, I = 60, hkl 2 0 2
2θ = 36.9°, I = 57, hkl 1 2 2
2θ = 48.0°, I = 40, hkl 3 1 2
2θ = 48.7°, I = 54, hkl 2 1 4

***

Record 3
Simulated X-ray powder pattern
Compound: Ba2DyTaO6
Radiation: Cu Kα X-rays
Structure: a DFT-relaxed cell (GGA-PBE, the Materials Project)

Crystal structure
Cell: 8.5316 8.5316 8.5316 Å, 90.00 90.00 90.00°
Space group Fm-3m (No. 225)
Symmetry-distinct sites (fractional):
Ba (0.2500, 0.2500, 0.2500) x8
Dy (0.0000, 0.0000, 0.0000) x4
Ta (0.0000, 0.0000, 0.5000) x4
O (0.0000, 0.0000, 0.2641) x24

Most intense lines, 10° ≤ 2θ ≤ 90°, low angle first:
2θ = 29.6°, I = 100, hkl 2 2 0
2θ = 42.4°, I = 28, hkl 4 0 0
2θ = 52.5°, I = 41, hkl 4 2 2
2θ = 61.5°, I = 18, hkl 4 4 0
2θ = 69.7°, I = 18, hkl 6 2 0
2θ = 85.1°, I = 22, hkl 6 4 2

***

Record 4
Simulated X-ray powder pattern
Compound: Ca2VN3
Radiation: Cu Kα X-rays
Structure: a DFT-relaxed cell (GGA-PBE, the Materials Project)

Crystal structure
Cell: 5.6385 10.4622 11.6472 Å, 90.00 92.07 90.00°
Space group C2/c (No. 15)
Symmetry-distinct sites (fractional):
Ca (0.2266, 0.1125, 0.4228) x8
Ca (0.2432, 0.2029, 0.8530) x8
V (0.2334, 0.5001, 0.3377) x8
N (0.0000, 0.0057, 0.2500) x4
N (0.0000, 0.4117, 0.7500) x4
N (0.1760, 0.3367, 0.3716) x8
N (0.2149, 0.0927, 0.0376) x8

Most intense lines, 10° ≤ 2θ ≤ 90°, low angle first:
2θ = 30.7°, I = 30, hkl 0 0 4
2θ = 31.8°, I = 100, hkl 2 0 0
2θ = 33.7°, I = 48, hkl 1 3 -2
2θ = 34.2°, I = 66, hkl 1 3 2
2θ = 35.2°, I = 41, hkl 0 4 1
2θ = 43.9°, I = 35, hkl 2 0 -4

***

Record 5
Simulated X-ray powder pattern
Compound: KP2O8
Radiation: Cu Kα X-rays
Structure: a DFT-relaxed cell (GGA-PBE, the Materials Project)

Crystal structure
Cell: 8.1740 11.4653 9.9477 Å, 90.00 115.19 90.00°
Space group P2_1/c (No. 14)
Symmetry-distinct sites (fractional):
K (0.2128, 0.1230, 0.1430) x4
P (0.1091, 0.0694, 0.7342) x4
P (0.3534, 0.7219, 0.7050) x4
O (0.0703, 0.5014, 0.8313) x4
O (0.0926, 0.1984, 0.7699) x4
O (0.1508, 0.7103, 0.6023) x4
O (0.2046, 0.0844, 0.6316) x4
O (0.2111, 0.5018, 0.3779) x4
O (0.4047, 0.5924, 0.7401) x4
O (0.4058, 0.7036, 0.3471) x4
O (0.4623, 0.7092, 0.1379) x4

Most intense lines, 10° ≤ 2θ ≤ 90°, low angle first:
2θ = 19.6°, I = 57, hkl 1 2 0
2θ = 19.7°, I = 100, hkl 0 0 2
2θ = 23.1°, I = 36, hkl 2 1 -1
2θ = 25.3°, I = 71, hkl 2 1 0
2θ = 26.2°, I = 74, hkl 1 3 0
2θ = 30.3°, I = 34, hkl 2 1 -3

***

Record 6
Simulated X-ray powder pattern
Compound: Ce3Zn
Radiation: Cu Kα X-rays
Structure: a DFT-relaxed cell (GGA-PBE, the Materials Project)

Crystal structure
Cell: 4.5745 4.5745 9.3743 Å, 90.00 90.00 90.00°
Space group I4/mmm (No. 139)
Symmetry-distinct sites (fractional):
Ce (0.0000, 0.0000, 0.0000) x2
Ce (0.0000, 0.5000, 0.2500) x4
Zn (0.0000, 0.0000, 0.5000) x2

Most intense lines, 10° ≤ 2θ ≤ 90°, low angle first:
2θ = 33.7°, I = 100, hkl 1 1 2
2θ = 38.4°, I = 17, hkl 0 0 4
2θ = 39.4°, I = 32, hkl 2 0 0
2θ = 56.2°, I = 23, hkl 2 0 4
2θ = 66.5°, I = 14, hkl 1 1 6
2θ = 67.8°, I = 26, hkl 3 1 2